For Na3CuO2, a structure optimized by DFT (PBE) gives the calculated powder X-ray diffraction pattern in this record (Cu Kα, 1.54184 Å).

Peak list (10 most intense, 10° ≤ 2θ ≤ 80°, by angle)
- 19.09 deg, I = 100
- 23.76 deg, I = 47
- 25.94 deg, I = 47
- 26.50 deg, I = 55
- 32.45 deg, I = 77
- 35.26 deg, I = 93
- 38.42 deg, I = 57
- 38.96 deg, I = 65
- 39.37 deg, I = 68
- 40.14 deg, I = 59

Crystal structure
```
Na3CuO2
1.0
5.9349 0.0000 0.0000
0.0000 8.6212 0.0000
-2.8904 0.0000 7.3046
Na Cu O
12 4 8
direct
0.2390 0.2097 0.3121
0.2390 0.2903 0.8121
0.2479 0.5308 0.5011
0.2479 0.9692 0.0011
0.2584 0.5262 0.1265
0.2584 0.9738 0.6265
0.7416 0.0262 0.3735
0.7416 0.4738 0.8735
0.7521 0.0308 0.9989
0.7521 0.4692 0.4989
0.7610 0.7097 0.1879
0.7610 0.7903 0.6879
0.2910 0.6785 0.8267
0.2910 0.8215 0.3267
0.7090 0.1785 0.6733
0.7090 0.3215 0.1733
0.0442 0.5412 0.7745
0.0442 0.9588 0.2745
0.4688 0.1819 0.1180
0.4688 0.3181 0.6180
0.5312 0.6819 0.3820
0.5312 0.8181 0.8820
0.9558 0.0412 0.7255
0.9558 0.4588 0.2255
```

***

For Mg9Si5, a structure optimized by DFT (PBE) gives the calculated powder X-ray diffraction pattern in this record (Cu Kα, 1.54184 Å).

Peak list (10 most intense, 10° ≤ 2θ ≤ 80°, by angle)
- 34.07 deg, I = 33
- 35.26 deg, I = 41
- 36.02 deg, I = 40
- 37.44 deg, I = 64
- 38.12 deg, I = 79
- 38.91 deg, I = 70
- 39.50 deg, I = 84
- 39.65 deg, I = 33
- 39.90 deg, I = 57
- 40.51 deg, I = 100

Crystal structure
```
Mg9Si5
1.0
6.9315 0.0000 0.0000
3.4225 7.1307 0.0000
0.6101 1.3143 11.2891
Mg Si
18 10
direct
0.0000 0.0000 0.0000
0.0095 0.0885 0.3923
0.1012 0.8552 0.6364
0.2091 0.6195 0.8737
0.2138 0.7113 0.2722
0.2990 0.2026 0.9500
0.3369 0.4769 0.5203
0.3465 0.1005 0.5816
0.3841 0.0461 0.2155
0.4984 0.7110 0.0296
0.5737 0.6219 0.7139
0.6809 0.6208 0.2853
0.7198 0.9243 0.8129
0.7858 0.8359 0.4677
0.8490 0.4288 0.5156
0.8857 0.3056 0.1402
0.9408 0.2184 0.7561
0.9422 0.6657 0.0886
0.1354 0.3818 0.3300
0.3139 0.9290 0.8171
0.3874 0.4097 0.1046
0.4158 0.7844 0.4642
0.5548 0.2898 0.3025
0.6238 0.3378 0.9262
0.7152 0.1525 0.5882
0.8098 0.9846 0.2291
0.8855 0.4932 0.9050
0.9948 0.5557 0.6883
```

***

For NdInPt4, a structure optimized by DFT (PBE) gives the calculated powder X-ray diffraction pattern in this record (Cu Kα, 1.54184 Å).

Peak list (10 most intense, 10° ≤ 2θ ≤ 80°, by angle)
- 19.92 deg, I = 21
- 32.82 deg, I = 17
- 38.69 deg, I = 100
- 40.48 deg, I = 54
- 47.09 deg, I = 12
- 51.61 deg, I = 6
- 58.59 deg, I = 6
- 62.52 deg, I = 33
- 68.80 deg, I = 30
- 72.44 deg, I = 4

Crystal structure
```
NdInPt4
1.0
0.0000 3.8595 3.8595
3.8595 0.0000 3.8595
3.8595 3.8595 0.0000
Nd In Pt
1 1 4
direct
0.0000 0.0000 0.0000
0.7500 0.7500 0.7500
0.3756 0.3756 0.3756
0.3756 0.3756 0.8732
0.3756 0.8732 0.3756
0.8732 0.3756 0.3756
```

***

For RbNbS2O9, a structure optimized by DFT (PBE) gives the calculated powder X-ray diffraction pattern in this record (Cu Kα, 1.54184 Å).

Peak list (10 most intense, 10° ≤ 2θ ≤ 80°, by angle)
- 19.52 deg, I = 19
- 20.19 deg, I = 34
- 22.01 deg, I = 24
- 22.38 deg, I = 11
- 26.36 deg, I = 100
- 27.86 deg, I = 21
- 34.14 deg, I = 22
- 36.47 deg, I = 11
- 42.67 deg, I = 12
- 54.26 deg, I = 13

Crystal structure
```
RbNbS2O9
1.0
17.6749 0.0000 0.0000
0.0000 5.2548 0.0000
0.0000 0.0000 9.0800
Rb Nb S O
4 4 8 36
direct
0.0650 0.2500 0.1711
0.4350 0.7500 0.6711
0.5650 0.2500 0.3289
0.9350 0.7500 0.8289
0.1903 0.7500 0.5793
0.3097 0.2500 0.0793
0.6903 0.7500 0.9207
0.8097 0.2500 0.4207
0.0696 0.2500 0.6309
0.1951 0.7500 0.9772
0.3049 0.2500 0.4772
0.4304 0.7500 0.1309
0.5696 0.2500 0.8691
0.6951 0.7500 0.5228
0.8049 0.2500 0.0228
0.9304 0.7500 0.3691
0.0111 0.2500 0.7427
0.0466 0.2500 0.4788
0.1132 0.7500 0.9790
0.1222 0.0231 0.6629
0.1222 0.4769 0.6629
0.1596 0.7500 0.3984
0.2231 0.5195 0.0638
0.2231 0.9805 0.0638
0.2313 0.7500 0.8317
0.2687 0.2500 0.3317
0.2769 0.0195 0.5638
0.2769 0.4805 0.5638
0.3404 0.2500 0.8984
0.3778 0.5231 0.1629
0.3778 0.9769 0.1629
0.3868 0.2500 0.4790
0.4534 0.7500 0.9788
0.4889 0.7500 0.2427
0.5111 0.2500 0.7573
0.5466 0.2500 0.0212
0.6132 0.7500 0.5210
0.6222 0.0231 0.8371
0.6222 0.4769 0.8371
0.6596 0.7500 0.1016
0.7231 0.5195 0.4362
0.7231 0.9805 0.4362
0.7313 0.7500 0.6683
0.7687 0.2500 0.1683
0.7769 0.0195 0.9362
0.7769 0.4805 0.9362
0.8404 0.2500 0.6016
0.8778 0.5231 0.3371
0.8778 0.9769 0.3371
0.8868 0.2500 0.0210
0.9534 0.7500 0.5212
0.9889 0.7500 0.2573
```

***

For TaMo2C3, a structure optimized by DFT (PBE) gives the calculated powder X-ray diffraction pattern in this record (Cu Kα, 1.54184 Å).

Peak list (10 most intense, 10° ≤ 2θ ≤ 80°, by angle)
- 11.51 deg, I = 24
- 35.02 deg, I = 32
- 35.24 deg, I = 100
- 40.86 deg, I = 92
- 59.01 deg, I = 29
- 59.30 deg, I = 28
- 70.50 deg, I = 14
- 70.76 deg, I = 26
- 70.90 deg, I = 14
- 74.52 deg, I = 15

Crystal structure
```
TaMo2C3
1.0
3.1166 0.0000 0.0000
-1.5583 2.6991 0.0000
0.0000 0.0000 7.6863
Ta Mo C
1 2 3
direct
0.0000 0.0000 0.0000
0.3333 0.6667 0.6692
0.6667 0.3333 0.3308
0.0000 0.0000 0.5000
0.3333 0.6667 0.1679
0.6667 0.3333 0.8321
```